# 1
Structure and theoretical X-ray diffraction stick pattern of AcZnAu5 (a PBE-relaxed structure; a wavelength of 1.5418 Å).

Principal peaks in the range 2θ = 10–80°, by angle:
30.6°, d = 2.922 Å, rel. 16, (0 2 0)
33.3°, d = 2.690 Å, rel. 41, (1 0 4)
34.5°, d = 2.597 Å, rel. 100, (3 1 1)
34.7°, d = 2.587 Å, rel. 44, (2 1 3)
36.7°, d = 2.451 Å, rel. 19, (2 2 0)
37.6°, d = 2.395 Å, rel. 24, (2 2 1)
40.1°, d = 2.248 Å, rel. 15, (2 2 2)
40.4°, d = 2.235 Å, rel. 27, (1 2 3)
40.8°, d = 2.209 Å, rel. 47, (4 0 1)
41.3°, d = 2.187 Å, rel. 19, (1 0 5)
44.1°, d = 2.053 Å, rel. 15, (2 2 3)
72.8°, d = 1.299 Å, rel. 15, (6 2 2)

Structure:
```
AcZnAu5
1.0
9.006 0.000 0.000
0.000 5.844 0.000
0.000 0.000 11.275
Ac Zn Au
4 4 20
direct
0.243 0.250 0.061 Ac
0.257 0.750 0.561 Ac
0.743 0.250 0.439 Ac
0.757 0.750 0.939 Ac
0.156 0.750 0.852 Zn
0.344 0.250 0.352 Zn
0.656 0.750 0.648 Zn
0.844 0.250 0.148 Zn
0.060 0.014 0.297 Au
0.060 0.486 0.297 Au
0.075 0.750 0.073 Au
0.100 0.250 0.518 Au
0.183 0.250 0.774 Au
0.317 0.750 0.274 Au
0.400 0.750 0.018 Au
0.425 0.250 0.573 Au
0.440 0.514 0.797 Au
0.440 0.986 0.797 Au
0.560 0.014 0.203 Au
0.560 0.486 0.203 Au
0.575 0.750 0.427 Au
0.600 0.250 0.982 Au
0.683 0.250 0.726 Au
0.817 0.750 0.226 Au
0.900 0.750 0.482 Au
0.925 0.250 0.927 Au
0.940 0.514 0.703 Au
0.940 0.986 0.703 Au
```

=====

# 2
Structure and theoretical X-ray diffraction stick pattern of KSiPb2 (a PBE-relaxed structure; a wavelength of 1.5418 Å).

Principal peaks in the range 2θ = 10–80°, by angle:
12.6°, d = 7.044 Å, rel. 58, (0 0 2)
20.3°, d = 4.375 Å, rel. 21, (0 1 1)
22.6°, d = 3.928 Å, rel. 81, (1 0 1)
27.1°, d = 3.287 Å, rel. 89, (0 1 3)
31.9°, d = 2.804 Å, rel. 100, (1 1 2)
38.3°, d = 2.348 Å, rel. 20, (0 0 6)
38.8°, d = 2.320 Å, rel. 26, (1 0 5)
39.0°, d = 2.309 Å, rel. 54, (1 1 4)
39.1°, d = 2.301 Å, rel. 22, (0 2 0)
45.7°, d = 1.985 Å, rel. 27, (1 2 1)
52.7°, d = 1.736 Å, rel. 29, (2 1 3)
56.3°, d = 1.634 Å, rel. 18, (1 2 5)

Structure:
```
KSiPb2
1.0
4.090 0.000 0.000
0.000 4.602 0.000
0.000 0.000 14.089
K Si Pb
2 2 4
direct
0.000 0.000 0.000 K
0.500 0.500 0.500 K
0.000 0.500 0.279 Si
0.500 0.000 0.779 Si
0.000 0.000 0.640 Pb
0.000 0.500 0.801 Pb
0.500 0.000 0.301 Pb
0.500 0.500 0.140 Pb
```